Diffraction record for K3Ca2AgCl9. The X-ray powder pattern is calculated, not measured: it uses a structure optimized by DFT (PBE) and Cu Kα (λ = 1.5418 Å).
No peak broadening, texture or thermal motion is included.

Structural model:
a b c (Å): 7.501 7.501 9.352
angles (deg): 90.00 90.00 120.00
Fractional coordinates of all 15 atoms:
K 0.000 0.000 0.000
K 0.333 0.667 0.634
K 0.667 0.333 0.366
Ca 0.333 0.667 0.167
Ca 0.667 0.333 0.833
Ag 0.000 0.000 0.500
Cl 0.000 0.500 0.000
Cl 0.166 0.332 0.342
Cl 0.166 0.834 0.342
Cl 0.332 0.166 0.658
Cl 0.500 0.000 0.000
Cl 0.500 0.500 0.000
Cl 0.668 0.834 0.342
Cl 0.834 0.166 0.658
Cl 0.834 0.668 0.658

Main lines, in order of falling intensity (5 to 70 degrees two-theta):
2θ (°)  intensity
33.6  100
16.6  57
47.9  33
48.5  32
23.4  28
23.7  28
29.1  24
60.3  15
37.5  14
9.5  14



Diffraction record for K2CaAgCl5. The X-ray powder pattern is calculated, not measured: it uses a structure optimized by DFT (PBE) and Cu Kα (λ = 1.5418 Å).
No peak broadening, texture or thermal motion is included.

Structural model:
a b c (Å): 9.353 9.353 13.552
angles (deg): 90.00 90.00 154.00
Fractional coordinates of all 18 atoms:
K 0.099 0.901 0.500
K 0.129 0.871 0.139
K 0.871 0.129 0.639
K 0.901 0.099 0.000
Ca 0.214 0.786 0.848
Ca 0.786 0.214 0.348
Ag 0.459 0.541 0.278
Ag 0.541 0.459 0.778
Cl 0.064 0.936 0.884
Cl 0.278 0.722 0.485
Cl 0.300 0.700 0.215
Cl 0.362 0.638 0.828
Cl 0.497 0.503 0.603
Cl 0.503 0.497 0.103
Cl 0.638 0.362 0.328
Cl 0.700 0.300 0.715
Cl 0.722 0.278 0.985
Cl 0.936 0.064 0.384

Main lines, in order of falling intensity (5 to 70 degrees two-theta):
2θ (°)  intensity
30.2  100
29.4  87
25.4  80
13.1  57
43.0  49
53.4  40
34.3  38
9.7  32
38.3  31
11.7  29



Diffraction record for CaMnAgCl6. The X-ray powder pattern is calculated, not measured: it uses a structure optimized by DFT (PBE) and Cu Kα (λ = 1.5418 Å).
No peak broadening, texture or thermal motion is included.

Structural model:
a b c (Å): 6.606 6.606 11.770
angles (deg): 90.00 90.00 120.00
Fractional coordinates of all 18 atoms:
Ca 0.333 0.667 0.250
Ca 0.667 0.333 0.750
Mn 0.333 0.667 0.750
Mn 0.667 0.333 0.250
Ag 0.000 0.000 0.000
Ag 0.000 0.000 0.500
Cl 0.039 0.366 0.631
Cl 0.039 0.673 0.869
Cl 0.327 0.366 0.869
Cl 0.327 0.961 0.631
Cl 0.366 0.039 0.131
Cl 0.366 0.327 0.369
Cl 0.634 0.673 0.631
Cl 0.634 0.961 0.869
Cl 0.673 0.039 0.369
Cl 0.673 0.634 0.131
Cl 0.961 0.327 0.131
Cl 0.961 0.634 0.369

Main lines, in order of falling intensity (5 to 70 degrees two-theta):
2θ (°)  intensity
21.7  100
41.1  65
31.0  49
47.7  32
34.9  28
44.6  28
64.7  14
27.0  12
60.4  11
49.1  10



Diffraction record for CaMnAg2Cl8. The X-ray powder pattern is calculated, not measured: it uses a structure optimized by DFT (PBE) and Cu Kα (λ = 1.5418 Å).
No peak broadening, texture or thermal motion is included.

Structural model:
a b c (Å): 6.323 7.684 6.615
angles (deg): 90.00 96.44 90.00
Fractional coordinates of all 12 atoms:
Ca 0.000 0.000 0.000
Mn 0.000 0.500 0.000
Ag 0.500 0.261 0.500
Ag 0.500 0.739 0.500
Cl 0.194 0.290 0.856
Cl 0.194 0.710 0.856
Cl 0.270 0.500 0.315
Cl 0.279 0.000 0.343
Cl 0.721 0.000 0.657
Cl 0.730 0.500 0.685
Cl 0.806 0.290 0.144
Cl 0.806 0.710 0.144

Main lines, in order of falling intensity (5 to 70 degrees two-theta):
2θ (°)  intensity
18.4  100
20.6  62
31.2  46
27.2  44
38.3  44
47.8  34
29.2  30
40.7  29
37.6  24
49.6  23



Diffraction record for NaCaAg2Cl6. The X-ray powder pattern is calculated, not measured: it uses a structure optimized by DFT (PBE) and Cu Kα (λ = 1.5418 Å).
No peak broadening, texture or thermal motion is included.

Structural model:
a b c (Å): 6.844 6.844 7.382
angles (deg): 62.64 62.46 60.11
Fractional coordinates of all 10 atoms:
Na 0.000 0.000 0.000
Ca 0.493 0.495 0.518
Ag 0.302 0.304 0.091
Ag 0.806 0.807 0.582
Cl 0.076 0.428 0.815
Cl 0.194 0.915 0.319
Cl 0.429 0.683 0.813
Cl 0.571 0.197 0.316
Cl 0.681 0.077 0.813
Cl 0.914 0.573 0.319

Main lines, in order of falling intensity (5 to 70 degrees two-theta):
2θ (°)  intensity
17.7  100
39.0  43
39.1  41
45.9  41
35.8  35
29.7  34
24.2  34
26.0  32
41.4  17
44.9  17



Diffraction record for Rb3CaAg2Cl6. The X-ray powder pattern is calculated, not measured: it uses a structure optimized by DFT (PBE) and Cu Kα (λ = 1.5418 Å).
No peak broadening, texture or thermal motion is included.

Structural model:
a b c (Å): 7.630 7.630 8.342
angles (deg): 90.00 90.00 120.00
Fractional coordinates of all 12 atoms:
Rb 0.000 0.000 0.000
Rb 0.333 0.667 0.622
Rb 0.667 0.333 0.378
Ca 0.000 0.000 0.500
Ag 0.333 0.667 0.129
Ag 0.667 0.333 0.871
Cl 0.165 0.330 0.304
Cl 0.165 0.835 0.304
Cl 0.330 0.165 0.696
Cl 0.670 0.835 0.304
Cl 0.835 0.165 0.696
Cl 0.835 0.670 0.696

Main lines, in order of falling intensity (5 to 70 degrees two-theta):
2θ (°)  intensity
23.3  100
34.6  90
25.3  83
42.2  42
47.7  36
41.0  23
17.1  20
54.7  19
45.6  18
57.6  17